Entry 1:
Theoretical X-ray powder pattern of AcSm2Ho4 for Cu Kα (λ = 1.5418 Å), from a cell relaxed with GGA-PBE.
Neutral-atom scattering factors, no anomalous dispersion.

Peak list (8 most intense, 10° ≤ 2θ ≤ 80°, in order of rising 2θ)
(2 2 1), 2θ = 30.7°, d = 2.914 Å, I = 100
(1 -2 1), 2θ = 30.8°, d = 2.906 Å, I = 49
(1 1 3), 2θ = 30.9°, d = 2.894 Å, I = 44
(0 3 2), 2θ = 33.7°, d = 2.662 Å, I = 40
(3 0 2), 2θ = 33.8°, d = 2.651 Å, I = 39
(1 1 -2), 2θ = 39.3°, d = 2.295 Å, I = 21
(1 4 0), 2θ = 52.6°, d = 1.740 Å, I = 18
(5 -1 1), 2θ = 58.3°, d = 1.582 Å, I = 19

Cell and atoms:
a = 8.2937 Å, b = 8.3128 Å, c = 8.7656 Å
α = 64.11°, β = 64.53°, γ = 85.77°
Positions (direct):
Ac 0.0000 0.0000 0.0000
Ac 0.1559 0.1514 0.3230
Sm 0.0404 0.6468 0.4932
Sm 0.2862 0.8684 0.6637
Sm 0.5081 0.1106 0.8317
Sm 0.8353 0.4937 0.2741
Ho 0.1252 0.4423 0.8953
Ho 0.3365 0.6336 0.0641
Ho 0.3756 0.3535 0.4894
Ho 0.5180 0.8167 0.2645
Ho 0.5748 0.5739 0.6665
Ho 0.6540 0.3158 0.0574
Ho 0.7130 0.0220 0.4314
Ho 0.7984 0.7719 0.8395

***

Entry 2:
Theoretical X-ray powder pattern of AcTbSm2Ho for Cu Kα (λ = 1.5418 Å), from a cell relaxed with GGA-PBE.
Neutral-atom scattering factors, no anomalous dispersion.

Peak list (8 most intense, 10° ≤ 2θ ≤ 80°, in order of rising 2θ)
(1 0 -3), 2θ = 27.7°, d = 3.215 Å, I = 24
(0 2 0), 2θ = 30.4°, d = 2.939 Å, I = 38
(1 1 2), 2θ = 31.6°, d = 2.830 Å, I = 51
(2 1 -1), 2θ = 31.7°, d = 2.821 Å, I = 100
(1 2 -3), 2θ = 41.6°, d = 2.171 Å, I = 24
(1 3 2), 2θ = 54.9°, d = 1.674 Å, I = 32
(3 2 1), 2θ = 58.7°, d = 1.573 Å, I = 23
(2 1 -6), 2θ = 59.6°, d = 1.551 Å, I = 17

Cell and atoms:
a = 6.4282 Å, b = 5.8779 Å, c = 9.8359 Å
α = 90.00°, β = 108.80°, γ = 90.00°
Positions (direct):
Ac 0.1366 0.2500 0.1061
Ac 0.8634 0.7500 0.8939
Tb 0.4782 0.7500 0.1061
Tb 0.5218 0.2500 0.8939
Sm 0.2657 0.7500 0.6979
Sm 0.3385 0.2500 0.5027
Sm 0.6615 0.7500 0.4973
Sm 0.7343 0.2500 0.3021
Ho 0.0666 0.7500 0.3110
Ho 0.9334 0.2500 0.6890